The following is a calculated XRD peak list of MnTlTc2O8. It was derived from a structure optimized by DFT (PBE+U), using copper Kα.
Peak positions follow from Bragg's law for the DFT cell and can differ from measured ones.

Largest 10 diffraction maxima, by angle, 2θ = 5–70°:
17.6 deg, rel. 18; 18.8 deg, rel. 30; 21.0 deg, rel. 100; 21.4 deg, rel. 54; 28.1 deg, rel. 83; 28.7 deg, rel. 41; 30.0 deg, rel. 38; 32.1 deg, rel. 63; 37.2 deg, rel. 25; 55.3 deg, rel. 19

Structural model:
```
MnTlTc2O8
1.0
4.731 -2.976 0.000
4.731 2.976 0.000
-0.338 0.000 8.048
Mn Tl Tc O
1 1 2 8
direct
0.000 0.000 0.000 Mn
0.000 0.000 0.500 Tl
0.362 0.362 0.217 Tc
0.638 0.638 0.783 Tc
0.217 0.217 0.074 O
0.219 0.711 0.188 O
0.289 0.781 0.812 O
0.304 0.304 0.420 O
0.696 0.696 0.580 O
0.711 0.219 0.188 O
0.781 0.289 0.812 O
0.783 0.783 0.926 O
```